Starting from DFT lattice parameters and positions (PBE), the XRD peak list of TlHgPd2 was calculated for Cu Kα, 1.54184 Å.

Structure:
a b c (Å): 8.965 6.170 5.879
angles (deg): 90.00 90.00 90.00
Positions (direct):
Tl 0.068 0.104 0.250
Tl 0.068 0.396 0.750
Tl 0.932 0.604 0.250
Tl 0.932 0.896 0.750
Hg 0.439 0.596 0.250
Hg 0.439 0.904 0.750
Hg 0.561 0.096 0.250
Hg 0.561 0.404 0.750
Pd 0.188 0.750 0.000
Pd 0.188 0.750 0.500
Pd 0.313 0.250 0.000
Pd 0.313 0.250 0.500
Pd 0.687 0.750 0.000
Pd 0.687 0.750 0.500
Pd 0.812 0.250 0.000
Pd 0.812 0.250 0.500

Largest 12 diffraction maxima, sorted by position, 10 to 80 degrees two-theta:
- 2θ 28.93, d 3.086, intensity 100
- 2θ 32.79, d 2.732, intensity 93
- 2θ 35.32, d 2.541, intensity 30
- 2θ 36.55, d 2.458, intensity 89
- 2θ 38.60, d 2.333, intensity 57
- 2θ 39.46, d 2.284, intensity 81
- 2θ 42.48, d 2.128, intensity 36
- 2θ 42.93, d 2.107, intensity 62
- 2θ 45.75, d 1.983, intensity 54
- 2θ 48.72, d 1.869, intensity 39
- 2θ 68.73, d 1.366, intensity 22
- 2θ 69.83, d 1.347, intensity 51

***

Starting from DFT lattice parameters and positions (PBE), the XRD peak list of TlHg2Pd2 was calculated for Cu Kα, 1.54184 Å.

Structure:
a b c (Å): 4.964 7.177 7.421
angles (deg): 66.83 70.53 69.90
Positions (direct):
Tl 0.200 0.251 0.250
Tl 0.800 0.749 0.750
Hg 0.152 0.109 0.788
Hg 0.452 0.609 0.288
Hg 0.548 0.391 0.712
Hg 0.848 0.891 0.212
Pd 0.228 0.651 0.964
Pd 0.342 0.850 0.535
Pd 0.658 0.150 0.465
Pd 0.772 0.349 0.036

Largest 12 diffraction maxima, sorted by position, 10 to 80 degrees two-theta:
- 2θ 26.22, d 3.398, intensity 18
- 2θ 26.76, d 3.331, intensity 38
- 2θ 26.85, d 3.320, intensity 30
- 2θ 29.95, d 2.983, intensity 31
- 2θ 30.07, d 2.972, intensity 19
- 2θ 36.19, d 2.482, intensity 25
- 2θ 38.18, d 2.357, intensity 100
- 2θ 38.33, d 2.348, intensity 33
- 2θ 38.40, d 2.344, intensity 30
- 2θ 38.68, d 2.328, intensity 38
- 2θ 38.74, d 2.325, intensity 23
- 2θ 40.14, d 2.247, intensity 39

***

Starting from DFT lattice parameters and positions (PBE), the XRD peak list of Tl6HgPd2 was calculated for Cu Kα, 1.54184 Å.

Structure:
a b c (Å): 4.577 7.710 7.710
angles (deg): 120.24 90.00 90.00
Positions (direct):
Tl 0.000 0.000 0.000
Tl 0.000 0.454 0.727
Tl 0.000 0.727 0.454
Tl 0.500 0.149 0.730
Tl 0.500 0.307 0.307
Tl 0.500 0.730 0.149
Hg 0.500 0.727 0.727
Pd 0.000 0.059 0.393
Pd 0.000 0.393 0.059

Largest 12 diffraction maxima, sorted by position, 10 to 80 degrees two-theta:
- 2θ 30.34, d 2.946, intensity 100
- 2θ 33.24, d 2.695, intensity 99
- 2θ 35.58, d 2.523, intensity 24
- 2θ 35.70, d 2.515, intensity 12
- 2θ 39.37, d 2.289, intensity 33
- 2θ 40.64, d 2.220, intensity 21
- 2θ 40.84, d 2.210, intensity 12
- 2θ 54.10, d 1.695, intensity 15
- 2θ 57.87, d 1.594, intensity 15
- 2θ 64.07, d 1.453, intensity 12
- 2θ 64.14, d 1.452, intensity 12
- 2θ 65.85, d 1.418, intensity 11

***

Starting from DFT lattice parameters and positions (PBE), the XRD peak list of TlHg3Pd4 was calculated for Cu Kα, 1.54184 Å.

Structure:
a b c (Å): 4.459 4.459 8.020
angles (deg): 105.88 105.88 90.10
Positions (direct):
Tl 0.000 0.000 0.000
Hg 0.251 0.251 0.502
Hg 0.500 0.500 0.000
Hg 0.749 0.749 0.498
Pd 0.126 0.626 0.251
Pd 0.374 0.874 0.749
Pd 0.626 0.126 0.251
Pd 0.874 0.374 0.749

Largest 12 diffraction maxima, sorted by position, 10 to 80 degrees two-theta:
- 2θ 28.30, d 3.153, intensity 12
- 2θ 37.44, d 2.402, intensity 100
- 2θ 37.62, d 2.391, intensity 33
- 2θ 40.46, d 2.230, intensity 54
- 2θ 49.30, d 1.849, intensity 15
- 2θ 58.49, d 1.578, intensity 9
- 2θ 58.61, d 1.575, intensity 9
- 2θ 65.45, d 1.426, intensity 13
- 2θ 65.76, d 1.420, intensity 13
- 2θ 71.51, d 1.319, intensity 20
- 2θ 71.66, d 1.317, intensity 10
- 2θ 71.81, d 1.315, intensity 10

***

Starting from DFT lattice parameters and positions (PBE), the XRD peak list of Tl4HgPd4 was calculated for Cu Kα, 1.54184 Å.

Structure:
a b c (Å): 6.972 6.972 6.972
angles (deg): 132.17 118.66 81.32
Positions (direct):
Tl 0.055 0.687 0.062
Tl 0.375 0.313 0.368
Tl 0.625 0.994 0.938
Tl 0.945 0.006 0.632
Hg 0.500 0.500 0.000
Pd 0.056 0.233 0.476
Pd 0.243 0.767 0.823
Pd 0.757 0.580 0.524
Pd 0.944 0.420 0.177

Largest 12 diffraction maxima, sorted by position, 10 to 80 degrees two-theta:
- 2θ 25.04, d 3.557, intensity 35
- 2θ 26.26, d 3.394, intensity 28
- 2θ 28.25, d 3.159, intensity 22
- 2θ 29.87, d 2.992, intensity 40
- 2θ 30.88, d 2.895, intensity 27
- 2θ 35.20, d 2.549, intensity 100
- 2θ 38.93, d 2.314, intensity 34
- 2θ 39.70, d 2.270, intensity 55
- 2θ 42.60, d 2.122, intensity 23
- 2θ 44.37, d 2.041, intensity 27
- 2θ 44.85, d 2.021, intensity 35
- 2θ 61.60, d 1.506, intensity 22

***

Starting from DFT lattice parameters and positions (PBE), the XRD peak list of Tl2Hg5Pd12 was calculated for Cu Kα, 1.54184 Å.

Structure:
a b c (Å): 7.831 7.831 6.235
angles (deg): 93.11 93.11 64.72
Positions (direct):
Tl 0.223 0.777 0.000
Tl 0.777 0.223 0.000
Hg 0.000 0.000 0.500
Hg 0.242 0.242 0.510
Hg 0.336 0.336 0.086
Hg 0.664 0.664 0.914
Hg 0.758 0.758 0.490
Pd 0.050 0.555 0.800
Pd 0.140 0.140 0.884
Pd 0.172 0.624 0.403
Pd 0.376 0.828 0.597
Pd 0.445 0.950 0.200
Pd 0.456 0.456 0.719
Pd 0.544 0.544 0.281
Pd 0.555 0.050 0.800
Pd 0.624 0.172 0.403
Pd 0.828 0.376 0.597
Pd 0.860 0.860 0.116
Pd 0.950 0.445 0.200

Largest 12 diffraction maxima, sorted by position, 10 to 80 degrees two-theta:
- 2θ 28.69, d 3.111, intensity 10
- 2θ 37.84, d 2.377, intensity 77
- 2θ 38.27, d 2.352, intensity 100
- 2θ 42.70, d 2.118, intensity 27
- 2θ 43.17, d 2.096, intensity 34
- 2θ 46.74, d 1.943, intensity 21
- 2θ 62.33, d 1.490, intensity 15
- 2θ 64.55, d 1.444, intensity 14
- 2θ 65.50, d 1.425, intensity 13
- 2θ 65.73, d 1.421, intensity 10
- 2θ 74.68, d 1.271, intensity 14
- 2θ 75.89, d 1.254, intensity 11

***

Starting from DFT lattice parameters and positions (PBE), the XRD peak list of Tm3Hg2Pd6 was calculated for Cu Kα, 1.54184 Å.

Structure:
a b c (Å): 15.763 15.763 15.763
angles (deg): 166.00 166.00 19.85
Positions (direct):
Tm 0.000 0.000 0.000
Tm 0.187 0.187 0.000
Tm 0.813 0.813 0.000
Hg 0.367 0.367 0.000
Hg 0.633 0.633 0.000
Pd 0.067 0.567 0.500
Pd 0.276 0.276 0.000
Pd 0.433 0.933 0.500
Pd 0.567 0.067 0.500
Pd 0.724 0.724 0.000
Pd 0.933 0.433 0.500

Largest 12 diffraction maxima, sorted by position, 10 to 80 degrees two-theta:
- 2θ 24.71, d 3.602, intensity 23
- 2θ 27.29, d 3.268, intensity 61
- 2θ 32.97, d 2.717, intensity 33
- 2θ 33.48, d 2.676, intensity 48
- 2θ 37.38, d 2.406, intensity 58
- 2θ 39.61, d 2.275, intensity 100
- 2θ 40.53, d 2.226, intensity 37
- 2θ 47.31, d 1.921, intensity 61
- 2θ 55.48, d 1.656, intensity 18
- 2θ 63.36, d 1.468, intensity 51
- 2θ 69.15, d 1.359, intensity 20
- 2θ 75.98, d 1.253, intensity 27

***

Starting from DFT lattice parameters and positions (PBE), the XRD peak list of TmHg3Pd7 was calculated for Cu Kα, 1.54184 Å.

Structure:
a b c (Å): 6.621 6.621 5.347
angles (deg): 106.43 106.43 92.22
Positions (direct):
Tm 0.000 0.000 0.000
Hg 0.283 0.717 0.500
Hg 0.500 0.500 0.000
Hg 0.717 0.283 0.500
Pd 0.000 0.000 0.500
Pd 0.081 0.569 0.823
Pd 0.287 0.287 0.456
Pd 0.431 0.919 0.177
Pd 0.569 0.081 0.823
Pd 0.713 0.713 0.544
Pd 0.919 0.431 0.177

Largest 12 diffraction maxima, sorted by position, 10 to 80 degrees two-theta:
- 2θ 21.20, d 4.190, intensity 25
- 2θ 28.64, d 3.117, intensity 46
- 2θ 34.14, d 2.626, intensity 62
- 2θ 36.82, d 2.441, intensity 23
- 2θ 37.69, d 2.386, intensity 75
- 2θ 38.48, d 2.339, intensity 100
- 2θ 41.28, d 2.187, intensity 17
- 2θ 41.56, d 2.173, intensity 15
- 2θ 43.15, d 2.096, intensity 25
- 2θ 43.79, d 2.067, intensity 47
- 2θ 51.77, d 1.766, intensity 33
- 2θ 60.07, d 1.540, intensity 14

***

Q: What is the formula in the eighth record?
A: TmHg3Pd7